This entry pairs a crystal structure of K3RbCr2O8 with its simulated X-ray diffraction stick pattern. Radiation: Cu Kα. Structure: a DFT-relaxed cell (PBE+U, Alexandria).
Kinematic intensities with the Lorentz-polarization factor, no thermal factor.

Top 10 peaks for 10 to 80 degrees two-theta, by intensity:
- (0 1 2), 26.62°, rel. 100
- (1 1 0), 29.40°, rel. 96
- (2 0 2), 40.07°, rel. 52
- (1 0 1), 19.73°, rel. 44
- (1 2 2), 50.47°, rel. 24
- (1 1 4), 51.75°, rel. 19
- (2 2 0), 61.00°, rel. 17
- (3 0 0), 52.15°, rel. 16
- (0 0 4), 41.59°, rel. 14
- (3 1 2), 67.74°, rel. 13

Lattice parameters (Å, degrees): 6.0759 6.0759 8.6849 90.00 90.00 120.00
Element x y z (fractional)
K1 0.0000 0.0000 0.0000
K2 0.3333 0.6667 0.7206
K3 0.6667 0.3333 0.2794
Rb1 0.0000 0.0000 0.5000
Cr1 0.3333 0.6667 0.2038
Cr2 0.6667 0.3333 0.7962
O1 0.1836 0.3673 0.2683
O2 0.1836 0.8164 0.2683
O3 0.3333 0.6667 0.0135
O4 0.3673 0.1836 0.7317
O5 0.6327 0.8164 0.2683
O6 0.6667 0.3333 0.9865
O7 0.8164 0.1836 0.7317
O8 0.8164 0.6327 0.7317